Structure and computed powder diffractogram of SrPdBr4 (a crystal structure in Alexandria, relaxed with PBE; Cu Kα (weighted mean of Kα1 and Kα2)).

Peak list (10 most intense, 2θ = 15–90°, sorted by position)
| Position (°2θ) | intensity | (hkl) |
| --- | --- | --- |
| 16.50 | 235 | 1 1 1 |
| 29.72 | 1000 | 2 0 2 |
| 29.91 | 501 | 0 4 0 |
| 38.03 | 288 | 3 1 2 |
| 39.80 | 156 | 4 0 0 |
| 42.67 | 665 | 2 4 2 |
| 45.12 | 174 | 0 0 4 |
| 53.99 | 174 | 3 5 2 |
| 55.08 | 172 | 0 4 4 |
| 70.39 | 168 | 2 8 2 |

Atomic structure:
```
data_SrPdBr4
_chemical_formula_sum 'Sr4 Pd4 Br16'
_cell_length_a 9.059
_cell_length_b 11.951
_cell_length_c 8.038
_cell_angle_alpha 90.00
_cell_angle_beta 90.00
_cell_angle_gamma 90.00
_symmetry_space_group_name_H-M 'C c c m'
_symmetry_Int_Tables_number 66
_symmetry_space_group_name_Hall '-C 2 2c'
loop_
_atom_site_label
_atom_site_type_symbol
_atom_site_fract_x
_atom_site_fract_y
_atom_site_fract_z
_atom_site_occupancy
Sr1 Sr 0.250 0.250 0.000 1
Pd1 Pd 0.000 0.000 0.250 1
Br1 Br 0.000 0.228 0.250 1
Br2 Br 0.200 0.005 0.500 1
```


Structure and computed powder diffractogram of TePdBr (a crystal structure in Alexandria, relaxed with PBE; Cu Kα (weighted mean of Kα1 and Kα2)).

Peak list (10 most intense, 2θ = 15–90°, sorted by position)
| Position (°2θ) | intensity | (hkl) |
| --- | --- | --- |
| 19.10 | 282 | 0 1 1 |
| 31.61 | 586 | 0 2 0 |
| 32.21 | 1000 | 1 0 2 |
| 33.52 | 166 | 0 2 1 |
| 44.02 | 216 | 1 1 3 |
| 45.75 | 742 | 1 2 2 |
| 47.78 | 182 | 2 0 0 |
| 55.68 | 177 | 0 2 4 |
| 58.42 | 197 | 2 2 0 |
| 75.36 | 166 | 1 4 2 |

Atomic structure:
```
data_TePdBr
_chemical_formula_sum 'Te2 Pd2 Br2'
_cell_length_a 3.807
_cell_length_b 5.662
_cell_length_c 8.132
_cell_angle_alpha 90.00
_cell_angle_beta 90.00
_cell_angle_gamma 90.00
_symmetry_space_group_name_H-M 'P m m n'
_symmetry_Int_Tables_number 59
loop_
_symmetry_equiv_pos_as_xyz
'x,y,z'
'-x,-y,-z'
'-x+1/2,-y+1/2,z'
'x+1/2,y+1/2,-z'
'x+1/2,-y,-z'
'-x+1/2,y,z'
'-x,y+1/2,-z'
'x,-y+1/2,z'
loop_
_atom_site_label
_atom_site_type_symbol
_atom_site_fract_x
_atom_site_fract_y
_atom_site_fract_z
_atom_site_occupancy
Te1 Te 0.250 0.250 0.089 1
Pd1 Pd 0.250 0.750 0.134 1
Br1 Br 0.250 0.250 0.649 1
```


Structure and computed powder diffractogram of Te4Pd3Br2 (a crystal structure in Alexandria, relaxed with PBE; Cu Kα (weighted mean of Kα1 and Kα2)).

Peak list (10 most intense, 2θ = 15–90°, sorted by position)
| Position (°2θ) | intensity | (hkl) |
| --- | --- | --- |
| 17.58 | 691 | 1 1 1 |
| 21.44 | 362 | 0 2 2 |
| 28.07 | 467 | 2 0 0 |
| 32.47 | 464 | 1 3 1 |
| 34.43 | 753 | 2 0 4 |
| 35.42 | 986 | 1 3 3 |
| 39.65 | 1000 | 0 0 8 |
| 40.77 | 444 | 1 3 5 |
| 45.73 | 613 | 2 2 6 |
| 48.28 | 308 | 1 1 9 |

Atomic structure:
```
data_Te4Pd3Br2
_chemical_formula_sum 'Te16 Pd12 Br8'
_cell_length_a 6.357
_cell_length_b 9.315
_cell_length_c 18.177
_cell_angle_alpha 90.00
_cell_angle_beta 90.00
_cell_angle_gamma 90.00
_symmetry_space_group_name_H-M 'F m m m'
_symmetry_Int_Tables_number 69
_symmetry_space_group_name_Hall '-F 2 2'
loop_
_atom_site_label
_atom_site_type_symbol
_atom_site_fract_x
_atom_site_fract_y
_atom_site_fract_z
_atom_site_occupancy
Te1 Te 0.000 0.180 0.113 1
Pd1 Pd 0.000 0.000 0.000 1
Pd2 Pd 0.250 0.250 0.000 1
Br1 Br 0.000 0.000 0.329 1
```


Structure and computed powder diffractogram of Te2Pd4Br (a crystal structure in Alexandria, relaxed with PBE; Cu Kα (weighted mean of Kα1 and Kα2)).

Peak list (10 most intense, 2θ = 15–90°, sorted by position)
| Position (°2θ) | intensity | (hkl) |
| --- | --- | --- |
| 15.58 | 155 | 1 1 0 |
| 26.45 | 327 | 2 1 1 |
| 29.99 | 365 | 1 0 3 |
| 31.46 | 284 | 2 2 0 |
| 37.38 | 256 | 0 0 4 |
| 40.10 | 1000 | 3 1 2 |
| 41.55 | 294 | 3 2 1 |
| 49.64 | 328 | 2 2 4 |
| 69.26 | 184 | 3 1 6 |
| 71.10 | 201 | 5 3 2 |

Atomic structure:
```
data_Te2Pd4Br
_chemical_formula_sum 'Te8 Pd16 Br4'
_cell_length_a 8.043
_cell_length_b 8.043
_cell_length_c 9.623
_cell_angle_alpha 90.00
_cell_angle_beta 90.00
_cell_angle_gamma 90.00
_symmetry_space_group_name_H-M 'I 41 2 2'
_symmetry_Int_Tables_number 98
_symmetry_space_group_name_Hall 'I 4bw 2bw'
loop_
_atom_site_label
_atom_site_type_symbol
_atom_site_fract_x
_atom_site_fract_y
_atom_site_fract_z
_atom_site_occupancy
Te1 Te 0.056 0.750 0.125 1
Pd1 Pd 0.075 0.218 0.864 1
Br1 Br 0.000 0.000 0.500 1
```


Structure and computed powder diffractogram of TePdBr6 (a crystal structure in Alexandria, relaxed with PBE; Cu Kα (weighted mean of Kα1 and Kα2)).

Peak list (10 most intense, 2θ = 15–90°, sorted by position)
| Position (°2θ) | intensity | (hkl) |
| --- | --- | --- |
| 18.66 | 711 | 1 -1 0 |
| 19.89 | 606 | 1 1 -1 |
| 23.62 | 311 | 1 0 1 |
| 24.12 | 1000 | 1 1 -2 |
| 24.26 | 555 | 1 0 -2 |
| 29.03 | 596 | 1 -2 0 |
| 35.25 | 337 | 0 2 1 |
| 43.12 | 283 | 2 2 -3 |
| 45.49 | 367 | 0 2 2 |
| 47.52 | 330 | 0 2 -4 |

Atomic structure:
```
data_TePdBr6
_chemical_formula_sum 'Te1 Pd1 Br6'
_cell_length_a 6.100
_cell_length_b 7.055
_cell_length_c 8.180
_cell_angle_alpha 111.75
_cell_angle_beta 108.96
_cell_angle_gamma 93.60
_symmetry_space_group_name_H-M 'P -1'
_symmetry_Int_Tables_number 2
loop_
_symmetry_equiv_pos_as_xyz
'x,y,z'
'-x,-y,-z'
loop_
_atom_site_label
_atom_site_type_symbol
_atom_site_fract_x
_atom_site_fract_y
_atom_site_fract_z
_atom_site_occupancy
Te1 Te 0.000 0.000 0.000 1
Pd1 Pd 0.500 0.500 0.000 1
Br1 Br 0.148 0.620 0.851 1
Br2 Br 0.249 0.148 0.819 1
Br3 Br 0.339 0.187 0.343 1
```


Structure and computed powder diffractogram of Tl6Pd3Br14 (a crystal structure in Alexandria, relaxed with PBE; Cu Kα (weighted mean of Kα1 and Kα2)).

Peak list (10 most intense, 2θ = 15–90°, sorted by position)
| Position (°2θ) | intensity | (hkl) |
| --- | --- | --- |
| 19.54 | 639 | 1 1 1 |
| 21.55 | 1000 | 2 0 1 |
| 23.94 | 242 | 1 2 0 |
| 26.72 | 697 | 2 1 1 |
| 29.74 | 815 | 0 2 2 |
| 32.83 | 271 | 3 1 0 |
| 33.79 | 889 | 3 -1 2 |
| 34.96 | 531 | 4 -3 1 |
| 40.17 | 339 | 0 2 3 |
| 43.86 | 262 | 5 -1 1 |

Atomic structure:
```
data_Tl6Pd3Br14
_chemical_formula_sum 'Tl6 Pd3 Br14'
_cell_length_a 11.3569
_cell_length_b 11.3569
_cell_length_c 7.5690
_cell_angle_alpha 90.00
_cell_angle_beta 90.00
_cell_angle_gamma 120.00
_symmetry_space_group_name_H-M 'P 3'
_symmetry_Int_Tables_number 143
loop_
_symmetry_equiv_pos_as_xyz
'x,y,z'
'-y,x-y,z'
'-x+y,-x,z'
loop_
_atom_site_label
_atom_site_type_symbol
_atom_site_fract_x
_atom_site_fract_y
_atom_site_fract_z
_atom_site_occupancy
Tl1 Tl 0.0510 0.7775 0.0000 1
Tl2 Tl 0.4770 0.0370 0.4605 1
Pd1 Pd 0.0000 0.0000 0.4537 1
Pd2 Pd 0.3333 0.6667 0.8335 1
Pd3 Pd 0.6667 0.3333 0.9040 1
Br1 Br 0.0000 0.0000 0.7940 1
Br2 Br 0.1281 0.5255 0.0265 1
Br3 Br 0.2049 0.7445 0.6378 1
Br4 Br 0.2107 0.0376 0.2895 1
Br5 Br 0.4471 0.2414 0.7309 1
Br6 Br 0.6667 0.3333 0.2425 1
```


Structure and computed powder diffractogram of TlPdBr3 (a crystal structure in Alexandria, relaxed with PBE; Cu Kα (weighted mean of Kα1 and Kα2)).

Peak list (10 most intense, 2θ = 15–90°, sorted by position)
| Position (°2θ) | intensity | (hkl) |
| --- | --- | --- |
| 17.26 | 588 | 1 0 -1 |
| 19.61 | 373 | 1 0 1 |
| 25.58 | 1000 | 0 1 -2 |
| 28.07 | 660 | 0 2 -1 |
| 29.25 | 428 | 2 0 0 |
| 29.68 | 717 | 0 2 1 |
| 32.10 | 662 | -2 2 1 |
| 33.43 | 379 | 2 -2 1 |
| 34.92 | 412 | 2 0 -2 |
| 35.83 | 520 | 1 0 -3 |

Atomic structure:
```
data_TlPdBr3
_chemical_formula_sum 'Tl2 Pd2 Br6'
_cell_length_a 6.707
_cell_length_b 7.355
_cell_length_c 7.848
_cell_angle_alpha 91.38
_cell_angle_beta 96.29
_cell_angle_gamma 113.34
_symmetry_space_group_name_H-M 'P -1'
_symmetry_Int_Tables_number 2
loop_
_symmetry_equiv_pos_as_xyz
'x,y,z'
'-x,-y,-z'
loop_
_atom_site_label
_atom_site_type_symbol
_atom_site_fract_x
_atom_site_fract_y
_atom_site_fract_z
_atom_site_occupancy
Tl1 Tl 0.239 0.091 0.271 1
Pd1 Pd 0.000 0.500 0.000 1
Pd2 Pd 0.000 0.500 0.500 1
Br1 Br 0.184 0.292 0.901 1
Br2 Br 0.197 0.842 0.635 1
Br3 Br 0.247 0.585 0.275 1
```